1.
Structure and calculated powder diffraction line list of FeAs2W (a DFT-relaxed cell (PBE, Alexandria); Cu Ka).
Intensities are scaled so that the largest is 100.

Structural model:
```
data_FeAs2W
_cell_length_a 3.2817
_cell_length_b 3.2817
_cell_length_c 5.6904
_cell_angle_alpha 90.00
_cell_angle_beta 90.00
_cell_angle_gamma 90.00
_symmetry_space_group_name_H-M 'P 4 m m'
_symmetry_Int_Tables_number 99
loop_
_symmetry_equiv_pos_as_xyz
'x,y,z'
'-y,x,z'
'-x,-y,z'
'y,-x,z'
'-x,y,z'
'y,x,z'
'x,-y,z'
'-y,-x,z'
loop_
_atom_site_label
_atom_site_type_symbol
_atom_site_fract_x
_atom_site_fract_y
_atom_site_fract_z
Fe1 Fe 0.0000 0.0000 0.0000
As1 As 0.0000 0.0000 0.5044
As2 As 0.5000 0.5000 0.8530
W1 W 0.5000 0.5000 0.3053
```

Top 8 peaks for 10 to 90 degrees two-theta, sorted by position:
| 2θ/deg | Rel. int. | h k l |
| --- | --- | --- |
| 15.57 | 25.5 | 0 0 1 |
| 27.17 | 16.8 | 1 0 0 |
| 31.46 | 33.4 | 0 0 2 |
| 38.81 | 70.6 | 1 1 0 |
| 42.03 | 100.0 | 1 0 2 |
| 50.77 | 14.8 | 1 1 2 |
| 56.03 | 31.4 | 2 0 0 |
| 72.45 | 45.9 | 2 1 2 |



2.
Structure and calculated powder diffraction line list of Zr4FeAs (a DFT-relaxed cell (PBE, Alexandria); Cu Ka).
Intensities are scaled so that the largest is 100.

Structural model:
```
data_Zr4FeAs
_cell_length_a 7.9925
_cell_length_b 7.9925
_cell_length_c 7.9925
_cell_angle_alpha 90.00
_cell_angle_beta 90.00
_cell_angle_gamma 90.00
_symmetry_space_group_name_H-M 'F -4 3 m'
_symmetry_Int_Tables_number 216
_symmetry_space_group_name_Hall 'F -4 2 3'
loop_
_atom_site_label
_atom_site_type_symbol
_atom_site_fract_x
_atom_site_fract_y
_atom_site_fract_z
Zr1 Zr 0.1241 0.1241 0.3759
Fe1 Fe 0.2500 0.2500 0.7500
As1 As 0.0000 0.0000 0.0000
```

Top 8 peaks for 10 to 90 degrees two-theta, sorted by position:
| 2θ/deg | Rel. int. | h k l |
| --- | --- | --- |
| 19.23 | 19.0 | 1 1 1 |
| 31.66 | 18.4 | 2 2 0 |
| 37.31 | 100.0 | 3 1 1 |
| 39.04 | 50.8 | 2 2 2 |
| 60.16 | 31.7 | 5 1 1 |
| 66.14 | 28.5 | 4 4 0 |
| 78.47 | 10.6 | 5 3 3 |
| 79.56 | 17.9 | 6 2 2 |